# 1
This entry pairs a crystal structure of LuPdO3 with its calculated powder X-ray diffraction pattern. Radiation: Cu Kα. Structure: a DFT-relaxed cell (PBE, the Materials Project).
Kinematic intensities with the Lorentz-polarization factor, no thermal factor.

Top 7 peaks for 5 to 70 degrees two-theta, sorted by position:
| d (Å) | Rel. int. |
| --- | --- |
| 3.964 | 3 |
| 2.803 | 100 |
| 2.288 | 7 |
| 1.982 | 28 |
| 1.773 | 2 |
| 1.618 | 40 |
| 1.401 | 17 |

Cell and atoms:
```
LuPdO3
1.0
3.964 0.000 0.000
0.000 3.964 0.000
0.000 0.000 3.964
Lu Pd O
1 1 3
direct
0.000 0.000 0.000 Lu
0.500 0.500 0.500 Pd
0.000 0.500 0.500 O
0.500 0.000 0.500 O
0.500 0.500 0.000 O
```

# 2
This entry pairs a crystal structure of Lu2PdO4 with its calculated powder X-ray diffraction pattern. Radiation: Cu Kα. Structure: a DFT-relaxed cell (PBE, the Materials Project).
Kinematic intensities with the Lorentz-polarization factor, no thermal factor.

Top 12 peaks for 5 to 70 degrees two-theta, sorted by position:
| d (Å) | Rel. int. |
| --- | --- |
| 5.827 | 1 |
| 3.709 | 7 |
| 2.766 | 41 |
| 2.756 | 100 |
| 2.006 | 5 |
| 1.956 | 23 |
| 1.942 | 9 |
| 1.595 | 43 |
| 1.590 | 21 |
| 1.532 | 2 |
| 1.383 | 7 |
| 1.378 | 11 |

Cell and atoms:
```
Lu2PdO4
1.0
5.827 -2.767 0.000
5.827 2.767 0.000
0.000 0.000 5.531
Lu Pd O
4 2 8
direct
0.162 0.162 0.000 Lu
0.338 0.338 0.500 Lu
0.662 0.662 0.500 Lu
0.838 0.838 0.000 Lu
0.000 0.000 0.500 Pd
0.500 0.500 0.000 Pd
0.009 0.491 0.750 O
0.168 0.832 0.832 O
0.332 0.668 0.332 O
0.491 0.009 0.250 O
0.509 0.991 0.750 O
0.668 0.332 0.668 O
0.832 0.168 0.168 O
0.991 0.509 0.250 O
```